Calculated X-ray powder pattern of Li4Mn3Cr2Co3O16 for copper Kα, from a cell relaxed with GGA+U.

The 12 most intense peaks (2θ = 10–80°), most intense first:
hkl	2θ (°)	Rel. int.
2 0 -1	20.02	100
0 0 2	18.71	92
2 2 1	37.06	45
3 1 -2	36.30	43
4 0 -3	46.11	40
6 2 0	64.54	32
4 0 -5	61.12	27
2 2 3	46.29	26
4 0 -2	40.64	24
2 0 -2	25.80	22
2 0 1	20.16	21
1 1 -3	33.43	20

Crystal structure
Cell lengths 9.987, 5.804, 9.485 Å; angles 90.00, 90.47, 90.00 degrees
Space group Cm (No. 8)
Asymmetric unit:
1 Li 0.000 0.000 0.000 x2
2 Li 0.001 0.000 0.503 x2
3 Li 0.171 0.500 0.894 x2
4 Li 0.337 0.000 0.399 x2
5 Mn 0.090 0.254 0.220 x4
6 Mn 0.174 0.000 0.719 x2
7 Cr 0.173 0.500 0.491 x2
8 Cr 0.342 0.000 0.988 x2
9 Co 0.337 0.500 0.216 x2
10 Co 0.421 0.246 0.717 x4
11 O 0.004 0.000 0.315 x2
12 O 0.004 0.000 0.812 x2
13 O 0.023 0.500 0.340 x2
14 O 0.085 0.243 0.608 x4
15 O 0.166 0.000 0.108 x2
16 O 0.171 0.500 0.114 x2
17 O 0.242 0.275 0.346 x4
18 O 0.264 0.222 0.840 x4
19 O 0.339 0.000 0.615 x2
20 O 0.341 0.500 0.610 x2
21 O 0.426 0.252 0.106 x4
22 O 0.486 0.000 0.841 x2